For Ba3Li2TeO6, DFT lattice parameters and positions (GGA-PBE) gives the simulated powder XRD pattern in this record (a wavelength of 1.5418 Å).
Lines closer than 0.1° are merged.

Top 8 peaks for 2θ = 10–90°, by angle:
d [Å]	two_theta	intensity	h k l
6.914	12.80	40	0 0 1
5.257	16.87	30	1 0 0
4.184	21.23	46	1 0 1
3.035	29.43	100	1 1 0
2.888	30.96	82	0 1 2
2.457	36.58	33	0 2 1
2.092	43.24	50	2 0 2
1.723	53.17	36	1 2 2

Cell and atoms:
```
data_Ba3Li2TeO6
_chemical_formula_sum 'Ba3 Li2 Te1 O6'
_cell_length_a 6.0698
_cell_length_b 6.0698
_cell_length_c 6.9137
_cell_angle_alpha 90.00
_cell_angle_beta 90.00
_cell_angle_gamma 120.00
_symmetry_space_group_name_H-M 'P -3 m 1'
_symmetry_Int_Tables_number 164
_symmetry_space_group_name_Hall '-P 3 2"'
loop_
_atom_site_label
_atom_site_fract_x
_atom_site_fract_y
_atom_site_fract_z
Ba1 0.0000 0.0000 0.0000
Ba2 0.3333 0.6667 0.6360
Li1 0.3333 0.6667 0.2258
Te1 0.0000 0.0000 0.5000
O1 0.1650 0.3301 0.3075
```

---

For NdEr5Tm5, DFT lattice parameters and positions (GGA-PBE) gives the simulated powder XRD pattern in this record (a wavelength of 1.5418 Å).
Lines closer than 0.1° are merged.

Top 8 peaks for 2θ = 10–90°, by angle:
d [Å]	two_theta	intensity	h k l
2.833	31.59	58	0 2 -1
2.788	32.11	100	2 0 -1
2.761	32.42	98	0 2 2
2.738	32.71	70	2 2 1
2.701	33.17	75	2 0 2
2.637	34.00	28	1 -2 0
2.624	34.17	69	0 0 3
1.609	57.25	26	4 0 1

Cell and atoms:
```
data_NdEr5Tm5
_chemical_formula_sum 'Nd1 Er5 Tm5'
_cell_length_a 6.7326
_cell_length_b 6.9163
_cell_length_c 8.2078
_cell_angle_alpha 76.55
_cell_angle_beta 77.10
_cell_angle_gamma 73.02
_symmetry_space_group_name_H-M 'P -1'
_symmetry_Int_Tables_number 2
loop_
_symmetry_equiv_pos_as_xyz
'x,y,z'
'-x,-y,-z'
loop_
_atom_site_label
_atom_site_fract_x
_atom_site_fract_y
_atom_site_fract_z
Nd1 0.0000 0.0000 0.0000
Er1 0.0000 0.5000 0.0000
Er2 0.1591 0.6270 0.3587
Er3 0.3261 0.7619 0.6558
Tm1 0.2084 0.1369 0.3211
Tm2 0.3531 0.2490 0.7150
Tm3 0.5000 0.5000 0.0000
```

---

For TePd5, DFT lattice parameters and positions (GGA-PBE) gives the simulated powder XRD pattern in this record (a wavelength of 1.5418 Å).
Lines closer than 0.1° are merged.

Top 8 peaks for 2θ = 10–90°, by angle:
d [Å]	two_theta	intensity	h k l
2.285	39.44	100	1 1 -2
2.257	39.95	25	0 2 0
2.225	40.55	22	4 0 -2
1.649	55.76	8	2 0 2
1.584	58.23	15	4 2 -2
1.331	70.78	8	2 2 2
1.308	72.22	16	1 3 -2
1.297	72.95	7	5 1 -4

Cell and atoms:
```
data_TePd5
_chemical_formula_sum 'Te2 Pd10'
_cell_length_a 9.4837
_cell_length_b 4.5131
_cell_length_c 5.5442
_cell_angle_alpha 90.00
_cell_angle_beta 123.17
_cell_angle_gamma 90.00
_symmetry_space_group_name_H-M 'C 1 2/m 1'
_symmetry_Int_Tables_number 12
loop_
_symmetry_equiv_pos_as_xyz
'x,y,z'
'-x,-y,-z'
'-x,y,-z'
'x,-y,z'
'x+1/2,y+1/2,z'
'-x+1/2,-y+1/2,-z'
'-x+1/2,y+1/2,-z'
'x+1/2,-y+1/2,z'
loop_
_atom_site_label
_atom_site_fract_x
_atom_site_fract_y
_atom_site_fract_z
Te1 0.0000 0.0000 0.0000
Pd1 0.0000 0.0000 0.5000
Pd2 0.1520 0.5000 0.3047
Pd3 0.1801 0.5000 0.8217
```

---

For PdPtS, DFT lattice parameters and positions (GGA-PBE) gives the simulated powder XRD pattern in this record (a wavelength of 1.5418 Å).
Lines closer than 0.1° are merged.

Top 8 peaks for 2θ = 10–90°, by angle:
d [Å]	two_theta	intensity	h k l
3.856	23.07	31	0 0 1
3.724	23.89	81	1 0 0
2.568	34.93	100	0 2 1
2.528	35.50	48	1 2 0
2.407	37.36	94	1 2 -1
2.045	44.29	36	1 0 -2
1.908	47.66	34	1 2 1
1.721	53.22	42	0 4 0

Cell and atoms:
```
data_PdPtS
_chemical_formula_sum 'Pd2 Pt2 S2'
_cell_length_a 4.0027
_cell_length_b 6.8877
_cell_length_c 4.1441
_cell_angle_alpha 90.00
_cell_angle_beta 111.50
_cell_angle_gamma 90.00
_symmetry_space_group_name_H-M 'P 1 m 1'
_symmetry_Int_Tables_number 6
loop_
_symmetry_equiv_pos_as_xyz
'x,y,z'
'x,-y,z'
loop_
_atom_site_label
_atom_site_fract_x
_atom_site_fract_y
_atom_site_fract_z
Pd1 0.0000 0.0000 0.0000
Pd2 0.3393 0.5000 0.1419
Pt1 0.9748 0.2648 0.4830
S1 0.3420 0.0000 0.6053
S2 0.7443 0.5000 0.7270
```